Diffraction record for Ca3Be2PdO6. The powder diffractogram is calculated, not measured: it uses a DFT-relaxed cell (PBE, Alexandria) and Cu Kα.
Peak positions follow from Bragg's law for the DFT cell and can differ from measured ones.

Principal peaks in the range 2θ from 10° to 90°, sorted by position:
d (Å), 2θ (°), I_rel, index
6.302, 14.1, 49, 0 0 1
4.703, 18.9, 89, 1 0 0
3.769, 23.6, 24, 0 1 1
2.715, 33.0, 78, 1 1 0
2.618, 34.3, 100, 0 1 2
2.203, 41.0, 40, 2 0 1
1.885, 48.3, 63, 2 0 2
1.567, 58.9, 26, 3 0 0
1.548, 59.7, 33, 1 2 2
1.357, 69.2, 26, 2 2 0

Crystal structure
```
data_Ca3Be2PdO6
_cell_length_a 5.4306
_cell_length_b 5.4306
_cell_length_c 6.3017
_cell_angle_alpha 90.00
_cell_angle_beta 90.00
_cell_angle_gamma 120.00
_symmetry_space_group_name_H-M 'P -3 m 1'
_symmetry_Int_Tables_number 164
_symmetry_space_group_name_Hall '-P 3 2"'
loop_
_atom_site_label
_atom_site_type_symbol
_atom_site_fract_x
_atom_site_fract_y
_atom_site_fract_z
Ca1 Ca 0.0000 0.0000 0.0000
Ca2 Ca 0.3333 0.6667 0.6895
Be1 Be 0.3333 0.6667 0.2472
Pd1 Pd 0.0000 0.0000 0.5000
O1 O 0.1732 0.3463 0.2609
```



Diffraction record for CaBePdO4. The powder diffractogram is calculated, not measured: it uses a DFT-relaxed cell (PBE, Alexandria) and Cu Kα.
Peak positions follow from Bragg's law for the DFT cell and can differ from measured ones.

Principal peaks in the range 2θ from 10° to 90°, sorted by position:
d (Å), 2θ (°), I_rel, index
3.903, 22.8, 100, 1 1 1
3.650, 24.4, 32, 0 2 1
2.904, 30.8, 43, 2 0 0
2.726, 32.9, 52, 1 1 2
2.610, 34.4, 64, 1 3 0
2.273, 39.7, 21, 2 2 1
2.002, 45.3, 30, 1 1 3
1.951, 46.5, 26, 2 2 2
1.614, 57.1, 18, 3 3 0
1.434, 65.1, 17, 2 0 4

Crystal structure
```
data_CaBePdO4
_cell_length_a 5.8076
_cell_length_b 8.7661
_cell_length_c 6.5956
_cell_angle_alpha 90.00
_cell_angle_beta 90.00
_cell_angle_gamma 90.00
_symmetry_space_group_name_H-M 'C m c m'
_symmetry_Int_Tables_number 63
_symmetry_space_group_name_Hall '-C 2c 2'
loop_
_atom_site_label
_atom_site_type_symbol
_atom_site_fract_x
_atom_site_fract_y
_atom_site_fract_z
Ca1 Ca 0.0000 0.0000 0.0000
Be1 Be 0.0000 0.3776 0.2500
Pd1 Pd 0.0000 0.3216 0.7500
O1 O 0.0000 0.2741 0.0425
O2 O 0.2185 0.4941 0.2500
```



Diffraction record for Ca2PmBe2O6. The powder diffractogram is calculated, not measured: it uses a DFT-relaxed cell (PBE, Alexandria) and Cu Kα.
Peak positions follow from Bragg's law for the DFT cell and can differ from measured ones.

Principal peaks in the range 2θ from 10° to 90°, sorted by position:
d (Å), 2θ (°), I_rel, index
5.953, 14.9, 16, 0 0 1
4.756, 18.7, 22, 1 0 0
3.716, 23.9, 100, 0 1 1
2.746, 32.6, 30, 1 1 0
2.523, 35.6, 36, 1 0 2
2.493, 36.0, 14, 1 1 1
2.208, 40.9, 28, 2 0 1
2.018, 44.9, 20, 1 1 2
1.721, 53.2, 25, 3 -2 1
1.539, 60.1, 13, 2 1 2

Crystal structure
```
data_Ca2PmBe2O6
_cell_length_a 5.4914
_cell_length_b 5.4914
_cell_length_c 5.9533
_cell_angle_alpha 90.00
_cell_angle_beta 90.00
_cell_angle_gamma 120.00
_symmetry_space_group_name_H-M 'P -3'
_symmetry_Int_Tables_number 147
loop_
_symmetry_equiv_pos_as_xyz
'x,y,z'
'-x,-y,-z'
'-y,x-y,z'
'y,-x+y,-z'
'-x+y,-x,z'
'x-y,x,-z'
loop_
_atom_site_label
_atom_site_type_symbol
_atom_site_fract_x
_atom_site_fract_y
_atom_site_fract_z
Ca1 Ca 0.3333 0.6667 0.3806
Pm1 Pm 0.0000 0.0000 0.0000
Be1 Be 0.3333 0.6667 0.8120
O1 O 0.0662 0.3820 0.7669
```